La2TbPm4: calculated powder diffraction line list (copper Kα), based on a DFT-relaxed cell (GGA-PBE, Alexandria).
Neutral-atom scattering factors, no anomalous dispersion.

```
data_La2TbPm4
_symmetry_space_group_name_H-M 'C c c e'
_symmetry_Int_Tables_number 68
_cell_length_a 12.5712
_cell_length_b 23.5499
_cell_length_c 6.6748
_cell_angle_alpha 90.00
_cell_angle_beta 90.00
_cell_angle_gamma 90.00
loop_
_symmetry_equiv_pos_as_xyz
'x,y,z'
'-x,-y,-z'
'-x+1/2,-y,z'
'x+1/2,y,-z'
'x+1/2,-y,-z+1/2'
'-x+1/2,y,z+1/2'
'-x,y,-z+1/2'
'x,-y,z+1/2'
'x+1/2,y+1/2,z'
'-x+1/2,-y+1/2,-z'
'-x,-y+1/2,z'
'x,y+1/2,-z'
'x,-y+1/2,-z+1/2'
'-x,y+1/2,z+1/2'
'-x+1/2,y+1/2,-z+1/2'
'x+1/2,-y+1/2,z+1/2'
loop_
_atom_site_label
_atom_site_type_symbol
_atom_site_fract_x
_atom_site_fract_y
_atom_site_fract_z
La1 La 0.0000 0.0321 0.2500
La2 La 0.1395 0.2500 0.7500
Tb1 Tb 0.2500 0.0000 0.0605
Pm1 Pm 0.1210 0.1096 0.8550
Pm2 Pm 0.1227 0.1664 0.3412
```

Top 6 peaks for 10° ≤ 2θ ≤ 90°, by angle:
two_theta  I/Imax
29.4  47
30.0  62
30.6  100
31.6  35
32.3  44
34.6  34